For Y3Pt2O, a structure optimized by DFT (PBE) gives the computed powder diffraction line list in this record (a wavelength of 1.5418 Å).
Lines closer than 0.1° are merged.

The 12 most intense peaks (2θ from 10° to 90°), low angle first:
two_theta	intensity
14.67	20.0
17.22	18.3
31.43	56.4
32.34	31.9
32.77	100.0
40.58	29.6
45.04	16.7
46.02	36.6
46.06	36.2
48.94	17.2
59.33	18.2
75.28	20.1

Structural model:
Unit cell a=12.631 b=5.693 c=7.444 alpha=90.00 beta=107.06 gamma=90.00
Space group C2/c (No. 15)
Symmetry-distinct sites (fractional):
Y  0.000  0.048  0.250 [4 per cell]
Y  0.144  0.499  0.073 [8 per cell]
Pt  0.176  0.001  0.588 [8 per cell]
O  0.000  0.454  0.250 [4 per cell]

---

For Zr6Pt3O, a structure optimized by DFT (PBE) gives the computed powder diffraction line list in this record (a wavelength of 1.5418 Å).
Lines closer than 0.1° are merged.

The 12 most intense peaks (2θ from 10° to 90°), low angle first:
two_theta	intensity
17.61	20.7
27.16	30.7
30.83	30.4
32.58	32.8
34.91	100.0
35.57	42.0
38.67	22.6
39.62	30.7
40.29	33.6
41.35	28.6
43.73	22.9
47.15	21.0

Structural model:
Unit cell a=5.861 b=7.268 c=10.585 alpha=90.00 beta=120.74 gamma=90.00
Space group P2_1/c (No. 14)
Symmetry-distinct sites (fractional):
Zr  0.072  0.046  0.235 [4 per cell]
Zr  0.197  0.714  0.065 [4 per cell]
Zr  0.391  0.147  0.053 [4 per cell]
Pt  0.311  0.108  0.723 [4 per cell]
Pt  0.500  0.000  0.500 [2 per cell]
O  0.000  0.000  0.000 [2 per cell]